1.
For BaTc2Ge, a GGA-PBE-relaxed structure gives the simulated X-ray diffraction stick pattern in this record (copper Kα).
Neutral-atom scattering factors, no anomalous dispersion.

Structure:
Cell: 4.859 4.859 17.856 Å, 90.00 90.00 90.00°
Positions (direct):
Ba1 0.000 0.250 0.375
Ba2 0.000 0.750 0.625
Ba3 0.500 0.250 0.125
Ba4 0.500 0.750 0.875
Tc1 0.000 0.000 0.000
Tc2 0.000 0.500 0.000
Tc3 0.250 0.250 0.750
Tc4 0.250 0.750 0.250
Tc5 0.500 0.000 0.500
Tc6 0.500 0.500 0.500
Tc7 0.750 0.250 0.750
Tc8 0.750 0.750 0.250
Ge1 0.000 0.250 0.875
Ge2 0.000 0.750 0.125
Ge3 0.500 0.250 0.625
Ge4 0.500 0.750 0.375

Principal peaks in the range 10° ≤ 2θ ≤ 90°, low angle first:
2θ (°)	I (rel.)
23.64	70
27.82	100
38.40	40
40.09	37
40.41	35
57.48	49

2.
For BaTlGe, a GGA-PBE-relaxed structure gives the simulated X-ray diffraction stick pattern in this record (copper Kα).
Neutral-atom scattering factors, no anomalous dispersion.

Structure:
Cell: 5.047 18.176 4.301 Å, 90.00 90.00 90.00°
Positions (direct):
Ba1 0.000 0.098 0.250
Ba2 0.000 0.902 0.750
Ba3 0.500 0.402 0.750
Ba4 0.500 0.598 0.250
Tl1 0.000 0.291 0.250
Tl2 0.000 0.709 0.750
Tl3 0.500 0.209 0.750
Tl4 0.500 0.791 0.250
Ge1 0.000 0.459 0.250
Ge2 0.000 0.541 0.750
Ge3 0.500 0.041 0.750
Ge4 0.500 0.959 0.250

Principal peaks in the range 10° ≤ 2θ ≤ 90°, low angle first:
2θ (°)	I (rel.)
27.69	100
30.30	56
35.58	26
36.27	35
51.72	26
52.67	24

3.
For BaZn3Ge, a GGA-PBE-relaxed structure gives the simulated X-ray diffraction stick pattern in this record (copper Kα).
Neutral-atom scattering factors, no anomalous dispersion.

Structure:
Cell: 11.467 11.467 11.467 Å, 157.21 156.88 32.69°
Positions (direct):
Ba1 0.404 0.154 0.250
Ba2 0.596 0.846 0.750
Zn1 0.027 0.277 0.750
Zn2 0.219 0.969 0.250
Zn3 0.289 0.539 0.750
Zn4 0.711 0.461 0.250
Zn5 0.781 0.031 0.750
Zn6 0.973 0.723 0.250
Ge1 0.152 0.402 0.750
Ge2 0.848 0.598 0.250

Principal peaks in the range 10° ≤ 2θ ≤ 90°, low angle first:
2θ (°)	I (rel.)
28.07	57
28.83	86
32.16	100
34.73	59
39.20	68
39.79	65

4.
For Ba3Zn4Ge4, a GGA-PBE-relaxed structure gives the simulated X-ray diffraction stick pattern in this record (copper Kα).
Neutral-atom scattering factors, no anomalous dispersion.

Structure:
Cell: 13.354 13.354 4.805 Å, 100.34 100.34 19.34°
Positions (direct):
Ba1 0.000 0.000 0.000
Ba2 0.349 0.349 0.848
Ba3 0.651 0.651 0.152
Zn1 0.097 0.097 0.597
Zn2 0.251 0.251 0.251
Zn3 0.749 0.749 0.749
Zn4 0.903 0.903 0.403
Ge1 0.197 0.197 0.695
Ge2 0.450 0.450 0.449
Ge3 0.550 0.550 0.551
Ge4 0.803 0.803 0.305

Principal peaks in the range 10° ≤ 2θ ≤ 90°, low angle first:
2θ (°)	I (rel.)
28.07	15
30.54	100
37.13	16
37.43	24
40.20	20
51.29	17

5.
For BaZn2Ge2, a GGA-PBE-relaxed structure gives the simulated X-ray diffraction stick pattern in this record (copper Kα).
Neutral-atom scattering factors, no anomalous dispersion.

Structure:
Cell: 4.532 4.532 10.957 Å, 90.00 90.00 90.00°
Positions (direct):
Ba1 0.000 0.000 0.000
Ba2 0.500 0.500 0.500
Zn1 0.000 0.000 0.382
Zn2 0.000 0.000 0.618
Zn3 0.500 0.500 0.118
Zn4 0.500 0.500 0.882
Ge1 0.000 0.500 0.250
Ge2 0.000 0.500 0.750
Ge3 0.500 0.000 0.250
Ge4 0.500 0.000 0.750

Principal peaks in the range 10° ≤ 2θ ≤ 90°, low angle first:
2θ (°)	I (rel.)
31.46	60
32.37	100
39.78	59
46.00	27
51.57	29
67.56	23

6.
For Ba2Zn3Ge5, a GGA-PBE-relaxed structure gives the simulated X-ray diffraction stick pattern in this record (copper Kα).
Neutral-atom scattering factors, no anomalous dispersion.

Structure:
Cell: 9.072 9.072 9.072 Å, 109.05 86.28 137.61°
Positions (direct):
Ba1 0.125 0.250 0.375
Ba2 0.375 0.750 0.125
Ba3 0.625 0.250 0.875
Ba4 0.875 0.750 0.625
Zn1 0.126 0.622 0.748
Zn2 0.250 0.250 0.000
Zn3 0.374 0.122 0.495
Zn4 0.626 0.878 0.505
Zn5 0.750 0.750 0.000
Zn6 0.874 0.378 0.252
Ge1 0.004 0.250 0.754
Ge2 0.119 0.870 0.989
Ge3 0.250 0.750 0.500
Ge4 0.381 0.370 0.752
Ge5 0.496 0.250 0.246
Ge6 0.504 0.750 0.754
Ge7 0.619 0.630 0.248
Ge8 0.750 0.250 0.500
Ge9 0.881 0.130 0.011
Ge10 0.996 0.750 0.246

Principal peaks in the range 10° ≤ 2θ ≤ 90°, low angle first:
2θ (°)	I (rel.)
31.93	100
32.15	42
38.65	57
47.38	20
50.82	15
51.11	15

7.
For Ba4Zn3Ge, a GGA-PBE-relaxed structure gives the simulated X-ray diffraction stick pattern in this record (copper Kα).
Neutral-atom scattering factors, no anomalous dispersion.

Structure:
Cell: 4.625 4.880 12.701 Å, 90.00 90.00 90.00°
Positions (direct):
Ba1 0.000 0.000 0.000
Ba2 0.000 0.500 0.476
Ba3 0.500 0.000 0.704
Ba4 0.500 0.500 0.203
Zn1 0.000 0.500 0.800
Zn2 0.500 0.000 0.395
Zn3 0.500 0.500 0.903
Ge1 0.000 0.000 0.279

Principal peaks in the range 10° ≤ 2θ ≤ 90°, low angle first:
2θ (°)	I (rel.)
23.80	30
27.48	100
27.90	70
34.08	50
36.83	30
48.59	30

8.
For BaZr3Ge, a GGA-PBE-relaxed structure gives the simulated X-ray diffraction stick pattern in this record (copper Kα).
Neutral-atom scattering factors, no anomalous dispersion.

Structure:
Cell: 5.270 5.270 5.270 Å, 90.00 90.00 90.00°
Positions (direct):
Ba1 0.000 0.000 0.000
Zr1 0.000 0.500 0.500
Zr2 0.500 0.000 0.500
Zr3 0.500 0.500 0.000
Ge1 0.500 0.500 0.500

Principal peaks in the range 10° ≤ 2θ ≤ 90°, low angle first:
2θ (°)	I (rel.)
23.88	27
29.35	95
34.02	100
48.88	70
58.04	39
81.71	31

9.
For BaHf2HOs, a GGA-PBE-relaxed structure gives the simulated X-ray diffraction stick pattern in this record (copper Kα).
Neutral-atom scattering factors, no anomalous dispersion.

Structure:
Cell: 5.050 5.050 3.561 Å, 90.00 90.00 90.00°
Positions (direct):
Ba1 0.000 0.000 0.000
Hf1 0.000 0.500 0.500
Hf2 0.500 0.000 0.500
H1 0.500 0.500 0.500
Os1 0.500 0.500 0.000

Principal peaks in the range 10° ≤ 2θ ≤ 90°, low angle first:
2θ (°)	I (rel.)
35.59	100
51.16	12
63.88	25
63.98	12
75.39	8
86.12	11

10.
For Ba6Hg3H, a GGA-PBE-relaxed structure gives the simulated X-ray diffraction stick pattern in this record (copper Kα).
Neutral-atom scattering factors, no anomalous dispersion.

Structure:
Cell: 10.698 10.698 7.907 Å, 90.00 90.00 101.84°
Positions (direct):
Ba1 0.052 0.948 0.500
Ba2 0.113 0.567 0.432
Ba3 0.233 0.767 0.920
Ba4 0.294 0.357 0.932
Ba5 0.357 0.294 0.432
Ba6 0.433 0.887 0.432
Ba7 0.567 0.113 0.932
Ba8 0.643 0.706 0.932
Ba9 0.706 0.643 0.432
Ba10 0.767 0.233 0.420
Ba11 0.887 0.433 0.932
Ba12 0.948 0.052 0.000
Hg1 0.053 0.261 0.639
Hg2 0.261 0.053 0.139
Hg3 0.405 0.595 0.226
Hg4 0.595 0.405 0.726
Hg5 0.739 0.947 0.639
Hg6 0.947 0.739 0.139
H1 0.210 0.790 0.584
H2 0.790 0.210 0.084

Principal peaks in the range 10° ≤ 2θ ≤ 90°, low angle first:
2θ (°)	I (rel.)
20.34	45
27.94	100
30.59	82
31.24	57
33.54	46
40.07	49

11.
For Ba4Hg2H, a GGA-PBE-relaxed structure gives the simulated X-ray diffraction stick pattern in this record (copper Kα).
Neutral-atom scattering factors, no anomalous dispersion.

Structure:
Cell: 5.517 5.517 17.685 Å, 90.00 90.00 90.00°
Positions (direct):
Ba1 0.000 0.000 0.184
Ba2 0.000 0.000 0.816
Ba3 0.000 0.500 0.000
Ba4 0.000 0.500 0.500
Ba5 0.500 0.000 0.000
Ba6 0.500 0.000 0.500
Ba7 0.500 0.500 0.316
Ba8 0.500 0.500 0.684
Hg1 0.000 0.000 0.376
Hg2 0.000 0.000 0.624
Hg3 0.500 0.500 0.124
Hg4 0.500 0.500 0.876
H1 0.000 0.000 0.000
H2 0.500 0.500 0.500

Principal peaks in the range 10° ≤ 2θ ≤ 90°, low angle first:
2θ (°)	I (rel.)
24.95	67
30.01	60
30.56	100
32.46	78
44.79	41
56.72	35

12.
For Ba6Hg3H2, a GGA-PBE-relaxed structure gives the simulated X-ray diffraction stick pattern in this record (copper Kα).
Neutral-atom scattering factors, no anomalous dispersion.

Structure:
Cell: 13.778 13.778 13.778 Å, 156.64 156.64 33.27°
Positions (direct):
Ba1 0.082 0.582 0.500
Ba2 0.205 0.205 0.000
Ba3 0.418 0.918 0.500
Ba4 0.582 0.082 0.500
Ba5 0.795 0.795 0.000
Ba6 0.918 0.418 0.500
Hg1 0.335 0.335 0.000
Hg2 0.500 0.500 0.000
Hg3 0.665 0.665 0.000
H1 0.103 0.103 0.000
H2 0.897 0.897 0.000

Principal peaks in the range 10° ≤ 2θ ≤ 90°, low angle first:
2θ (°)	I (rel.)
16.24	35
23.54	34
28.57	40
30.43	100
32.09	64
56.17	36